# 1
The following is a calculated XRD peak list of NiSn5. It was derived from a GGA-PBE-relaxed structure, using CuKα.
Neutral-atom scattering factors, no anomalous dispersion.

Crystal structure
```
NiSn5
1.0
-6.855 6.855 3.199
6.855 -6.855 3.199
6.855 6.855 -3.199
Ni Sn
4 20
Direct
0.375 0.215 0.340 Ni
0.785 0.125 0.160 Ni
0.875 0.035 0.660 Ni
0.965 0.625 0.840 Ni
0.062 0.136 0.217 Sn
0.103 0.791 0.369 Sn
0.156 0.938 0.074 Sn
0.158 0.125 0.533 Sn
0.209 0.577 0.312 Sn
0.265 0.897 0.688 Sn
0.327 0.459 0.812 Sn
0.375 0.842 0.967 Sn
0.423 0.735 0.631 Sn
0.485 0.673 0.131 Sn
0.541 0.353 0.869 Sn
0.592 0.625 0.467 Sn
0.594 0.169 0.283 Sn
0.647 0.515 0.188 Sn
0.688 0.406 0.574 Sn
0.831 0.114 0.426 Sn
0.864 0.081 0.926 Sn
0.875 0.408 0.033 Sn
0.886 0.312 0.717 Sn
0.919 0.844 0.783 Sn
```

Top 6 peaks for 5 to 70 degrees two-theta, low angle first:
| 2θ (°) | Rel. int. |
| --- | --- |
| 29.1 | 65 |
| 29.4 | 90 |
| 30.3 | 64 |
| 35.6 | 79 |
| 38.0 | 100 |
| 39.6 | 51 |


# 2
The following is a calculated XRD peak list of Lu4Zr2Tl3N3. It was derived from a GGA-PBE-relaxed structure, using CuKα.
Neutral-atom scattering factors, no anomalous dispersion.

Crystal structure
```
Lu4Zr2Tl3N3
1.0
5.111 -2.955 0.000
5.111 2.955 0.000
-3.429 0.000 15.086
Lu Zr Tl N
8 4 6 6
Direct
0.030 0.194 0.085 Lu
0.137 0.305 0.415 Lu
0.194 0.030 0.585 Lu
0.305 0.137 0.915 Lu
0.695 0.863 0.085 Lu
0.806 0.970 0.415 Lu
0.863 0.695 0.585 Lu
0.970 0.806 0.915 Lu
0.359 0.526 0.078 Zr
0.474 0.641 0.422 Zr
0.526 0.359 0.578 Zr
0.641 0.474 0.922 Zr
0.100 0.900 0.250 Tl
0.268 0.416 0.750 Tl
0.416 0.268 0.250 Tl
0.584 0.732 0.750 Tl
0.732 0.584 0.250 Tl
0.900 0.100 0.750 Tl
0.000 0.500 0.000 N
0.165 0.668 0.500 N
0.332 0.835 0.000 N
0.500 0.000 0.500 N
0.668 0.165 0.000 N
0.835 0.332 0.500 N
```

Top 6 peaks for 5 to 70 degrees two-theta, low angle first:
| 2θ (°) | Rel. int. |
| --- | --- |
| 30.3 | 33 |
| 35.2 | 51 |
| 35.3 | 100 |
| 35.7 | 30 |
| 53.8 | 31 |
| 63.9 | 27 |


# 3
The following is a calculated XRD peak list of Rb2Tb3AlF16. It was derived from a GGA-PBE-relaxed structure, using CuKα.
Neutral-atom scattering factors, no anomalous dispersion.

Crystal structure
```
Rb2Tb3AlF16
1.0
7.484 0.000 0.000
-3.742 6.482 0.000
0.000 0.000 12.318
Rb Tb Al F
4 6 2 32
Direct
0.333 0.667 0.061 Rb
0.333 0.667 0.439 Rb
0.667 0.333 0.561 Rb
0.667 0.333 0.939 Rb
0.170 0.341 0.750 Tb
0.170 0.830 0.750 Tb
0.341 0.170 0.250 Tb
0.659 0.830 0.750 Tb
0.830 0.170 0.250 Tb
0.830 0.659 0.250 Tb
0.000 0.000 0.000 Al
0.000 0.000 0.500 Al
0.000 0.000 0.250 F
0.000 0.000 0.750 F
0.095 0.547 0.647 F
0.095 0.547 0.853 F
0.116 0.233 0.578 F
0.116 0.233 0.922 F
0.116 0.884 0.578 F
0.116 0.884 0.922 F
0.191 0.382 0.250 F
0.191 0.809 0.250 F
0.233 0.116 0.078 F
0.233 0.116 0.422 F
0.382 0.191 0.750 F
0.453 0.547 0.647 F
0.453 0.547 0.853 F
0.453 0.905 0.647 F
0.453 0.905 0.853 F
0.547 0.095 0.147 F
0.547 0.095 0.353 F
0.547 0.453 0.147 F
0.547 0.453 0.353 F
0.618 0.809 0.250 F
0.767 0.884 0.578 F
0.767 0.884 0.922 F
0.809 0.191 0.750 F
0.809 0.618 0.750 F
0.884 0.116 0.078 F
0.884 0.116 0.422 F
0.884 0.767 0.078 F
0.884 0.767 0.422 F
0.905 0.453 0.147 F
0.905 0.453 0.353 F
```

Top 6 peaks for 5 to 70 degrees two-theta, low angle first:
| 2θ (°) | Rel. int. |
| --- | --- |
| 14.4 | 56 |
| 25.7 | 33 |
| 27.9 | 49 |
| 28.5 | 100 |
| 46.3 | 41 |
| 48.7 | 33 |